Entry 1:
Starting from a cell relaxed with GGA-PBE, the X-ray powder pattern of Cs2YCdF6 was simulated for copper Kα.

Principal peaks in the range 10° ≤ 2θ ≤ 80°, sorted by position:
Position (°2θ), Rel. int.
26.36, 100.0
31.02, 0.6
32.44, 6.2
37.63, 35.3
41.15, 0.8
46.53, 41.3
54.27, 22.5
61.32, 19.3
64.66, 1.8
67.92, 7.2
74.22, 21.8

Lattice parameters (Å, degrees): 6.761 6.761 6.761 60.00 60.00 60.00
Atoms (fractional coordinates):
1 Cs 0.250 0.250 0.250
2 Cs 0.750 0.750 0.750
3 Y 0.000 0.000 0.000
4 Cd 0.500 0.500 0.500
5 F 0.230 0.230 0.770
6 F 0.230 0.770 0.230
7 F 0.230 0.770 0.770
8 F 0.770 0.230 0.230
9 F 0.770 0.230 0.770
10 F 0.770 0.770 0.230

---

Entry 2:
Starting from a cell relaxed with GGA-PBE, the X-ray powder pattern of CsCdFeH6 was simulated for copper Kα.

Principal peaks in the range 10° ≤ 2θ ≤ 80°, sorted by position:
Position (°2θ), Rel. int.
25.69, 100.0
26.22, 51.0
30.13, 30.1
36.02, 19.1
37.19, 34.9
45.10, 22.2
46.39, 8.8
47.65, 17.2
48.58, 32.1
50.89, 14.4
60.90, 9.6
73.80, 9.0

Lattice parameters (Å, degrees): 4.836 4.840 5.931 90.01 90.02 117.97
Atoms (fractional coordinates):
1 Cs 0.000 0.000 0.000
2 Cd 0.335 0.663 0.500
3 Fe 0.677 0.321 0.500
4 H 0.523 0.063 0.692
5 H 0.525 0.062 0.308
6 H 0.542 0.457 0.315
7 H 0.544 0.459 0.685
8 H 0.935 0.473 0.691
9 H 0.935 0.475 0.309

---

Entry 3:
Starting from a cell relaxed with GGA-PBE, the X-ray powder pattern of Cs3CdGa was simulated for copper Kα.

Principal peaks in the range 10° ≤ 2θ ≤ 80°, sorted by position:
Position (°2θ), Rel. int.
23.20, 78.0
23.41, 100.0
23.94, 54.7
24.35, 65.5
24.52, 57.1
25.12, 44.5
27.52, 39.0
27.72, 68.1
30.50, 43.9
37.98, 53.2
42.96, 34.2
45.62, 32.7

Lattice parameters (Å, degrees): 4.739 11.242 11.512 93.70 90.02 102.15
Atoms (fractional coordinates):
1 Cs 0.050 0.101 0.183
2 Cs 0.251 0.501 0.809
3 Cs 0.395 0.794 0.433
4 Cs 0.605 0.206 0.567
5 Cs 0.749 0.499 0.191
6 Cs 0.950 0.899 0.817
7 Cd 0.403 0.805 0.077
8 Cd 0.597 0.195 0.923
9 Ga 0.230 0.460 0.475
10 Ga 0.770 0.540 0.525

---

Entry 4:
Starting from a cell relaxed with GGA-PBE, the X-ray powder pattern of CsCdGa2Te4 was simulated for copper Kα.

Principal peaks in the range 10° ≤ 2θ ≤ 80°, sorted by position:
Position (°2θ), Rel. int.
13.03, 44.4
23.53, 100.0
24.92, 91.9
26.23, 46.0
27.80, 25.5
30.67, 53.9
32.14, 63.0
38.52, 60.6
42.90, 24.6
43.39, 24.6
47.70, 48.3
53.68, 21.6

Lattice parameters (Å, degrees): 7.712 7.712 7.712 125.42 108.19 96.21
Atoms (fractional coordinates):
1 Cs 0.000 0.000 0.000
2 Cd 0.500 0.500 0.000
3 Ga 0.376 0.876 0.500
4 Ga 0.624 0.124 0.500
5 Te 0.146 0.089 0.601
6 Te 0.487 0.544 0.399
7 Te 0.513 0.911 0.057
8 Te 0.854 0.456 0.943